No. 1
Calculated X-ray diffraction stick pattern of Cs8HAu3Br4 for a wavelength of 1.5418 Å, from a crystal structure in Alexandria, relaxed with PBE.
Neutral-atom scattering factors, no anomalous dispersion.

Largest 10 diffraction maxima, in order of rising 2θ, 10° ≤ 2θ ≤ 90°:
10.47 deg, 8.447 Å, I 8.1
20.15 deg, 4.408 Å, I 7.7
24.35 deg, 3.655 Å, I 100.0
34.71 deg, 2.584 Å, I 79.4
42.89 deg, 2.109 Å, I 21.8
49.90 deg, 1.827 Å, I 13.9
56.28 deg, 1.635 Å, I 38.7
62.25 deg, 1.491 Å, I 21.3
78.55 deg, 1.218 Å, I 14.5
88.83 deg, 1.102 Å, I 8.3

Structure:
abc: 10.348 10.348 10.348
angles: 59.87 59.87 59.87
Positions (direct):
1 Cs 0.241 0.758 0.758
2 Cs 0.242 0.242 0.759
3 Cs 0.242 0.759 0.242
4 Cs 0.249 0.249 0.249
5 Cs 0.751 0.751 0.751
6 Cs 0.758 0.241 0.758
7 Cs 0.758 0.758 0.241
8 Cs 0.759 0.242 0.242
9 H 0.000 0.000 0.000
10 Au 0.000 0.500 0.500
11 Au 0.500 0.000 0.500
12 Au 0.500 0.500 0.000
13 Br 0.000 0.000 0.500
14 Br 0.000 0.500 0.000
15 Br 0.500 0.000 0.000
16 Br 0.500 0.500 0.500

No. 2
Calculated X-ray diffraction stick pattern of Cs4HAuBr for a wavelength of 1.5418 Å, from a crystal structure in Alexandria, relaxed with PBE.
Neutral-atom scattering factors, no anomalous dispersion.

Largest 10 diffraction maxima, in order of rising 2θ, 10° ≤ 2θ ≤ 90°:
21.81 deg, 4.075 Å, I 23.0
23.65 deg, 3.762 Å, I 100.0
27.54 deg, 3.239 Å, I 54.6
28.50 deg, 3.132 Å, I 98.0
31.03 deg, 2.882 Å, I 77.7
41.82 deg, 2.160 Å, I 28.3
41.96 deg, 2.153 Å, I 35.0
44.48 deg, 2.037 Å, I 38.3
50.97 deg, 1.792 Å, I 24.6
53.66 deg, 1.708 Å, I 33.3

Structure:
abc: 10.603 10.603 10.603
angles: 148.46 148.46 45.21
Positions (direct):
1 Cs 0.000 0.000 0.000
2 Cs 0.186 0.686 0.500
3 Cs 0.365 0.365 0.000
4 Cs 0.686 0.186 0.500
5 H 0.153 0.153 0.000
6 Au 0.811 0.811 0.000
7 Br 0.553 0.553 0.000

No. 3
Calculated X-ray diffraction stick pattern of Cs7AuBr2O2 for a wavelength of 1.5418 Å, from a crystal structure in Alexandria, relaxed with PBE.
Neutral-atom scattering factors, no anomalous dispersion.

Largest 10 diffraction maxima, in order of rising 2θ, 10° ≤ 2θ ≤ 90°:
20.83 deg, 4.264 Å, I 37.7
24.07 deg, 3.697 Å, I 23.8
24.54 deg, 3.627 Å, I 90.9
26.58 deg, 3.353 Å, I 38.7
28.55 deg, 3.127 Å, I 100.0
30.68 deg, 2.914 Å, I 73.8
32.44 deg, 2.760 Å, I 33.1
34.99 deg, 2.564 Å, I 44.4
48.45 deg, 1.879 Å, I 21.0
52.38 deg, 1.747 Å, I 30.2

Structure:
abc: 14.551 14.551 14.551
angles: 159.70 36.98 149.42
Positions (direct):
1 Cs 0.000 0.000 0.000
2 Cs 0.037 0.831 0.206
3 Cs 0.172 0.558 0.614
4 Cs 0.452 0.536 0.916
5 Cs 0.620 0.536 0.084
6 Cs 0.625 0.831 0.794
7 Cs 0.944 0.558 0.386
8 Au 0.345 0.845 0.500
9 Br 0.128 0.330 0.798
10 Br 0.532 0.330 0.202
11 O 0.770 0.871 0.899
12 O 0.973 0.871 0.101

No. 4
Calculated X-ray diffraction stick pattern of Cs2PAuBr6 for a wavelength of 1.5418 Å, from a crystal structure in Alexandria, relaxed with PBE.
Neutral-atom scattering factors, no anomalous dispersion.

Largest 10 diffraction maxima, in order of rising 2θ, 10° ≤ 2θ ≤ 90°:
14.05 deg, 6.304 Å, I 26.3
22.86 deg, 3.890 Å, I 58.6
23.39 deg, 3.803 Å, I 26.9
28.31 deg, 3.152 Å, I 86.9
31.76 deg, 2.817 Å, I 54.8
33.32 deg, 2.689 Å, I 100.0
46.70 deg, 1.945 Å, I 73.3
47.84 deg, 1.901 Å, I 35.4
58.57 deg, 1.576 Å, I 40.3
88.39 deg, 1.106 Å, I 28.3

Structure:
abc: 7.789 7.789 7.789
angles: 121.55 121.55 87.33
Positions (direct):
1 Cs 0.250 0.750 0.500
2 Cs 0.750 0.250 0.500
3 P 0.000 0.000 0.000
4 Au 0.500 0.500 0.000
5 Br 0.230 0.230 0.000
6 Br 0.245 0.245 0.489
7 Br 0.245 0.755 0.000
8 Br 0.755 0.245 0.000
9 Br 0.755 0.755 0.511
10 Br 0.770 0.770 0.000